# GaAuO2
Simulated powder X-ray diffraction pattern, Cu Kα, 1.54184 Å. Input: DFT lattice parameters and positions (PBE).
No peak broadening, texture or thermal motion is included.

Crystal structure
Lattice parameters (Å, degrees): 3.0501 3.0501 12.4864 90.00 90.00 120.00
Space group P6_3/mmc (No. 194)
Asymmetric unit:
1 Ga 0.0000 0.0000 0.0000
2 Au 0.3333 0.6667 0.2500
3 O 0.3333 0.6667 0.0800

Peak list (10 most intense, 15° ≤ 2θ ≤ 90°, most intense first)
h k l  2θ/deg  d (Å)  I/Imax
1 0 1  34.71  2.584  100.0
1 0 2  36.95  2.433  65.8
0 0 4  28.60  3.122  52.6
1 0 3  40.45  2.230  40.0
1 0 5  50.28  1.815  35.8
1 1 4  68.47  1.370  27.7
1 1 0  60.73  1.525  25.7
1 0 6  56.28  1.635  25.0
1 0 7  62.87  1.478  17.2
1 1 8  89.94  1.091  13.9